No. 1
The following is a calculated powder XRD pattern of RbLiIrO4. It was derived from the PBE geometry in Alexandria, using Cu Ka.
Kinematic intensities with the Lorentz-polarization factor, no thermal factor.

Crystal structure
a b c (Å): 6.0634 6.0634 7.6038
angles (deg): 90.00 90.00 90.00
Positions (direct):
Rb 0.0000 0.0000 0.0000
Rb 0.5000 0.5000 0.5000
Li 0.0000 0.0000 0.5000
Li 0.5000 0.5000 0.0000
Ir 0.0000 0.5000 0.7500
Ir 0.5000 0.0000 0.2500
O 0.1094 0.2431 0.6598
O 0.2431 0.8906 0.3402
O 0.2569 0.6094 0.8402
O 0.3906 0.2569 0.1598
O 0.6094 0.7431 0.1598
O 0.7431 0.3906 0.8402
O 0.7569 0.1094 0.3402
O 0.8906 0.7569 0.6598

Main lines, low angle first (2θ from 10° to 90°):
| Position (°2θ) | d [Å] | intensity |
| --- | --- | --- |
| 18.72 | 4.741 | 100.0 |
| 29.46 | 3.032 | 21.7 |
| 31.45 | 2.845 | 45.9 |
| 35.14 | 2.554 | 32.6 |
| 38.50 | 2.339 | 15.4 |
| 53.53 | 1.712 | 20.6 |

=====

No. 2
The following is a calculated powder XRD pattern of SrLi2IrO4. It was derived from the PBE geometry in Alexandria, using Cu Ka.
Kinematic intensities with the Lorentz-polarization factor, no thermal factor.

Crystal structure
a b c (Å): 5.2836 5.2836 7.3896
angles (deg): 90.00 90.00 90.00
Positions (direct):
Sr 0.0000 0.0000 0.0000
Sr 0.5000 0.5000 0.5000
Li 0.0000 0.5000 0.2500
Li 0.0000 0.5000 0.7500
Li 0.5000 0.0000 0.2500
Li 0.5000 0.0000 0.7500
Ir 0.0000 0.0000 0.5000
Ir 0.5000 0.5000 0.0000
O 0.1856 0.1856 0.6850
O 0.1856 0.8144 0.3150
O 0.3144 0.3144 0.1850
O 0.3144 0.6856 0.8150
O 0.6856 0.3144 0.8150
O 0.6856 0.6856 0.1850
O 0.8144 0.1856 0.3150
O 0.8144 0.8144 0.6850

Main lines, low angle first (2θ from 10° to 90°):
| Position (°2θ) | d [Å] | intensity |
| --- | --- | --- |
| 20.67 | 4.298 | 44.4 |
| 23.82 | 3.736 | 100.0 |
| 33.93 | 2.642 | 30.6 |
| 34.13 | 2.627 | 83.3 |
| 42.05 | 2.149 | 51.4 |
| 60.85 | 1.522 | 35.7 |

=====

No. 3
The following is a calculated powder XRD pattern of Li2TcIrO6. It was derived from the PBE geometry in Alexandria, using Cu Ka.
Kinematic intensities with the Lorentz-polarization factor, no thermal factor.

Crystal structure
a b c (Å): 5.5479 5.5479 3.8562
angles (deg): 90.00 90.00 90.00
Positions (direct):
Li 0.0000 0.5000 0.0000
Li 0.5000 0.0000 0.0000
Tc 0.0000 0.0000 0.7917
Ir 0.5000 0.5000 0.8172
O 0.0000 0.0000 0.3237
O 0.2463 0.2463 0.8457
O 0.2463 0.7537 0.8457
O 0.5000 0.5000 0.3235
O 0.7537 0.2463 0.8457
O 0.7537 0.7537 0.8457

Main lines, low angle first (2θ from 10° to 90°):
| Position (°2θ) | d [Å] | intensity |
| --- | --- | --- |
| 22.67 | 3.923 | 100.0 |
| 23.06 | 3.856 | 51.9 |
| 32.27 | 2.774 | 29.0 |
| 32.56 | 2.750 | 50.8 |
| 46.29 | 1.961 | 23.0 |
| 52.33 | 1.748 | 21.6 |

=====

No. 4
The following is a calculated powder XRD pattern of LiThIrO6. It was derived from the PBE geometry in Alexandria, using Cu Ka.
Kinematic intensities with the Lorentz-polarization factor, no thermal factor.

Crystal structure
a b c (Å): 4.9884 4.9884 9.8467
angles (deg): 90.00 90.00 90.00
Positions (direct):
Li 0.0000 0.0000 0.0000
Li 0.5000 0.5000 0.5000
Th 0.0000 0.0000 0.3431
Th 0.5000 0.5000 0.8431
Ir 0.0000 0.0000 0.6769
Ir 0.5000 0.5000 0.1769
O 0.1820 0.1820 0.8243
O 0.1901 0.1901 0.5372
O 0.2301 0.2301 0.1760
O 0.2699 0.7301 0.6760
O 0.3099 0.6901 0.0372
O 0.3180 0.6820 0.3243
O 0.6820 0.3180 0.3243
O 0.6901 0.3099 0.0372
O 0.7301 0.2699 0.6760
O 0.7699 0.7699 0.1760
O 0.8099 0.8099 0.5372
O 0.8180 0.8180 0.8243

Main lines, low angle first (2θ from 10° to 90°):
| Position (°2θ) | d [Å] | intensity |
| --- | --- | --- |
| 18.02 | 4.923 | 26.7 |
| 19.95 | 4.450 | 80.3 |
| 25.25 | 3.527 | 100.0 |
| 31.19 | 2.867 | 26.7 |
| 32.66 | 2.742 | 85.7 |
| 49.40 | 1.845 | 68.9 |

=====

No. 5
The following is a calculated powder XRD pattern of LiTl2IrO6. It was derived from the PBE geometry in Alexandria, using Cu Ka.
Kinematic intensities with the Lorentz-polarization factor, no thermal factor.

Crystal structure
a b c (Å): 5.5580 5.5580 5.5580
angles (deg): 60.97 60.97 60.97
Positions (direct):
Li 0.0000 0.0000 0.0000
Tl 0.2387 0.2387 0.2387
Tl 0.7601 0.7601 0.7601
Ir 0.5009 0.5009 0.5009
O 0.1625 0.3684 0.7305
O 0.2727 0.8396 0.6330
O 0.3684 0.7305 0.1625
O 0.6330 0.2726 0.8396
O 0.7305 0.1625 0.3684
O 0.8396 0.6330 0.2726

Main lines, low angle first (2θ from 10° to 90°):
| Position (°2θ) | d [Å] | intensity |
| --- | --- | --- |
| 19.33 | 4.593 | 31.2 |
| 31.73 | 2.820 | 100.0 |
| 32.22 | 2.778 | 99.7 |
| 37.64 | 2.390 | 31.0 |
| 45.85 | 1.979 | 47.4 |
| 56.84 | 1.620 | 43.1 |

=====

No. 6
The following is a calculated powder XRD pattern of LiTm2IrO6. It was derived from the PBE geometry in Alexandria, using Cu Ka.
Kinematic intensities with the Lorentz-polarization factor, no thermal factor.

Crystal structure
a b c (Å): 5.8267 5.8267 5.8267
angles (deg): 55.73 55.73 55.73
Positions (direct):
Li 0.0000 0.0000 0.0000
Tm 0.2636 0.2636 0.2636
Tm 0.7715 0.7715 0.7715
Ir 0.4648 0.4648 0.4648
O 0.1003 0.6753 0.3604
O 0.2112 0.5696 0.8288
O 0.3604 0.1003 0.6753
O 0.5696 0.8288 0.2112
O 0.6753 0.3604 0.1003
O 0.8288 0.2112 0.5696

Main lines, low angle first (2θ from 10° to 90°):
| Position (°2θ) | d [Å] | intensity |
| --- | --- | --- |
| 19.76 | 4.492 | 51.4 |
| 22.39 | 3.971 | 54.0 |
| 30.82 | 2.901 | 88.4 |
| 32.89 | 2.723 | 100.0 |
| 45.69 | 1.986 | 34.3 |
| 50.05 | 1.823 | 60.8 |

=====

No. 7
The following is a calculated powder XRD pattern of Li2YIrO6. It was derived from the PBE geometry in Alexandria, using Cu Ka.
Kinematic intensities with the Lorentz-polarization factor, no thermal factor.

Crystal structure
a b c (Å): 5.3494 5.4799 9.4383
angles (deg): 90.00 124.04 90.00
Positions (direct):
Li 0.2244 0.0245 0.2428
Li 0.2244 0.4755 0.7428
Li 0.7756 0.5245 0.2572
Li 0.7756 0.9755 0.7572
Y 0.0000 0.0000 0.5000
Y 0.0000 0.5000 0.0000
Ir 0.5000 0.0000 0.0000
Ir 0.5000 0.5000 0.5000
O 0.1523 0.0734 0.7721
O 0.1523 0.4266 0.2721
O 0.2464 0.6465 0.5588
O 0.2464 0.8535 0.0588
O 0.4410 0.1923 0.5740
O 0.4410 0.3077 0.0740
O 0.5590 0.6923 0.9260
O 0.5590 0.8077 0.4260
O 0.7536 0.1465 0.9412
O 0.7536 0.3535 0.4412
O 0.8477 0.5734 0.7279
O 0.8477 0.9266 0.2279

Main lines, low angle first (2θ from 10° to 90°):
| Position (°2θ) | d [Å] | intensity |
| --- | --- | --- |
| 19.78 | 4.488 | 22.8 |
| 22.74 | 3.911 | 55.3 |
| 23.24 | 3.828 | 100.0 |
| 32.65 | 2.742 | 57.6 |
| 32.84 | 2.727 | 36.2 |
| 33.51 | 2.675 | 18.0 |

=====

No. 8
The following is a calculated powder XRD pattern of LiIrOs. It was derived from the PBE geometry in Alexandria, using Cu Ka.
Kinematic intensities with the Lorentz-polarization factor, no thermal factor.

Crystal structure
a b c (Å): 6.9949 4.0806 7.1207
angles (deg): 90.00 90.00 90.00
Positions (direct):
Li 0.0059 0.2500 0.1658
Li 0.4941 0.7500 0.6658
Li 0.5059 0.2500 0.3342
Li 0.9941 0.7500 0.8342
Ir 0.1770 0.7500 0.4005
Ir 0.3230 0.2500 0.9005
Ir 0.6770 0.7500 0.0995
Ir 0.8230 0.2500 0.5995
Os 0.1688 0.2500 0.5950
Os 0.3312 0.7500 0.0950
Os 0.6688 0.2500 0.9050
Os 0.8312 0.7500 0.4050

Main lines, low angle first (2θ from 10° to 90°):
| Position (°2θ) | d [Å] | intensity |
| --- | --- | --- |
| 17.77 | 4.990 | 100.0 |
| 25.15 | 3.540 | 99.6 |
| 35.85 | 2.505 | 51.3 |
| 40.72 | 2.216 | 60.2 |
| 44.14 | 2.052 | 66.8 |
| 51.95 | 1.760 | 89.4 |

=====

No. 9
The following is a calculated powder XRD pattern of LiIrOs. It was derived from the PBE geometry in Alexandria, using Cu Ka.
Kinematic intensities with the Lorentz-polarization factor, no thermal factor.

Crystal structure
a b c (Å): 13.4836 2.6950 4.6685
angles (deg): 90.00 90.00 90.00
Positions (direct):
Li 0.1622 0.0000 0.0000
Li 0.1622 0.5000 0.5000
Li 0.8378 0.0000 0.0000
Li 0.8378 0.5000 0.5000
Ir 0.0000 0.0000 0.3333
Ir 0.0000 0.5000 0.8333
Ir 0.5000 0.0000 0.9986
Ir 0.5000 0.5000 0.4986
Os 0.3359 0.0000 0.3319
Os 0.3359 0.5000 0.8319
Os 0.6641 0.0000 0.3319
Os 0.6641 0.5000 0.8319

Main lines, low angle first (2θ from 10° to 90°):
| Position (°2θ) | d [Å] | intensity |
| --- | --- | --- |
| 13.13 | 6.742 | 26.1 |
| 19.75 | 4.495 | 35.5 |
| 38.57 | 2.334 | 36.9 |
| 40.13 | 2.247 | 26.1 |
| 43.70 | 2.071 | 100.0 |
| 56.88 | 1.619 | 24.1 |

=====

No. 10
The following is a calculated powder XRD pattern of LiIrOs. It was derived from the PBE geometry in Alexandria, using Cu Ka.
Kinematic intensities with the Lorentz-polarization factor, no thermal factor.

Crystal structure
a b c (Å): 4.5572 4.6072 4.9502
angles (deg): 65.13 66.47 61.64
Positions (direct):
Li 0.0836 0.2513 0.2400
Li 0.9164 0.7487 0.7600
Ir 0.2445 0.0882 0.7471
Ir 0.7555 0.9118 0.2529
Os 0.4059 0.5814 0.2512
Os 0.5941 0.4186 0.7488

Main lines, low angle first (2θ from 10° to 90°):
| Position (°2θ) | d [Å] | intensity |
| --- | --- | --- |
| 24.05 | 3.700 | 67.2 |
| 26.02 | 3.425 | 61.6 |
| 41.53 | 2.174 | 77.3 |
| 43.41 | 2.085 | 51.5 |
| 43.75 | 2.069 | 100.0 |
| 46.20 | 1.965 | 54.5 |

=====

No. 11
The following is a calculated powder XRD pattern of LiVIr2Os. It was derived from the PBE geometry in Alexandria, using Cu Ka.
Kinematic intensities with the Lorentz-polarization factor, no thermal factor.

Crystal structure
a b c (Å): 4.5473 4.5473 4.4898
angles (deg): 90.00 90.00 90.00
Positions (direct):
Li 0.0000 0.0000 0.0000
V 0.5000 0.5000 0.5000
Ir 0.0000 0.5000 0.5000
Ir 0.5000 0.0000 0.5000
Os 0.5000 0.5000 0.0000

Main lines, low angle first (2θ from 10° to 90°):
| Position (°2θ) | d [Å] | intensity |
| --- | --- | --- |
| 19.52 | 4.547 | 41.0 |
| 34.30 | 2.614 | 100.0 |
| 39.64 | 2.274 | 48.1 |
| 40.17 | 2.245 | 23.2 |
| 57.71 | 1.597 | 32.3 |
| 68.52 | 1.369 | 28.1 |

=====

No. 12
The following is a calculated powder XRD pattern of Li4P6Ir7. It was derived from the PBE geometry in Alexandria, using Cu Ka.
Kinematic intensities with the Lorentz-polarization factor, no thermal factor.

Crystal structure
a b c (Å): 6.7661 6.7661 6.7661
angles (deg): 109.47 109.47 109.47
Positions (direct):
Li 0.0000 0.0000 0.5000
Li 0.0000 0.5000 0.0000
Li 0.5000 0.0000 0.0000
Li 0.5000 0.5000 0.5000
P 0.0000 0.3146 0.3146
P 0.0000 0.6854 0.6854
P 0.3146 0.0000 0.3146
P 0.3146 0.3146 0.0000
P 0.6854 0.0000 0.6854
P 0.6854 0.6854 0.0000
Ir 0.0000 0.0000 0.0000
Ir 0.2500 0.5000 0.7500
Ir 0.2500 0.7500 0.5000
Ir 0.5000 0.2500 0.7500
Ir 0.5000 0.7500 0.2500
Ir 0.7500 0.2500 0.5000
Ir 0.7500 0.5000 0.2500

Main lines, low angle first (2θ from 10° to 90°):
| Position (°2θ) | d [Å] | intensity |
| --- | --- | --- |
| 22.76 | 3.906 | 74.2 |
| 27.97 | 3.190 | 100.0 |
| 39.97 | 2.255 | 69.2 |
| 43.33 | 2.088 | 87.2 |
| 46.49 | 1.953 | 60.8 |
| 67.86 | 1.381 | 36.4 |